The following is a theoretical powder diffraction line list of CaFe6O4F8. It was derived from a PBE+U-relaxed structure, using Cu Ka.

Top 10 peaks for 10 to 90 degrees two-theta, by angle:
| Position (°2θ) | intensity |
| --- | --- |
| 16.94 | 50 |
| 20.95 | 100 |
| 26.79 | 99 |
| 28.81 | 28 |
| 29.76 | 43 |
| 33.13 | 64 |
| 34.20 | 31 |
| 34.82 | 39 |
| 45.15 | 26 |
| 50.27 | 28 |

Structural model:
```
data_CaFe6O4F8
_space_group_name_H-M_alt 'P 1'
_space_group_IT_number 1
_space_group_name_Hall 'P 1'
_cell_length_a 6.1078
_cell_length_b 6.3150
_cell_length_c 7.9760
_cell_angle_alpha 100.84
_cell_angle_beta 101.71
_cell_angle_gamma 115.06
loop_
_atom_site_label
_atom_site_type_symbol
_atom_site_fract_x
_atom_site_fract_y
_atom_site_fract_z
Ca1 Ca 0.0000 0.0000 0.0000
Fe1 Fe 0.0524 0.9463 0.4434
Fe2 Fe 0.0859 0.5833 0.1071
Fe3 Fe 0.4249 0.5685 0.5444
Fe4 Fe 0.4852 0.9612 0.8774
Fe5 Fe 0.5534 0.2113 0.2628
Fe6 Fe 0.9523 0.3811 0.7149
O1 O 0.1228 0.2961 0.5696
O2 O 0.1349 0.6973 0.8968
O3 O 0.2112 0.9305 0.2430
O4 O 0.8633 0.2573 0.9074
F1 F 0.2827 0.4625 0.2466
F2 F 0.2914 0.8378 0.5974
F3 F 0.3984 0.2142 0.9894
F4 F 0.6068 0.7057 0.8264
F5 F 0.6484 0.3494 0.5437
F6 F 0.7133 0.0080 0.1590
F7 F 0.7567 0.8322 0.5421
F8 F 0.8477 0.5260 0.2573
```


The following is a theoretical powder diffraction line list of LiCaNiF6. It was derived from a PBE+U-relaxed structure, using Cu Ka.

Top 10 peaks for 10 to 90 degrees two-theta, by angle:
| Position (°2θ) | intensity |
| --- | --- |
| 17.97 | 18 |
| 21.88 | 89 |
| 26.95 | 100 |
| 33.86 | 20 |
| 34.86 | 12 |
| 39.48 | 52 |
| 44.60 | 20 |
| 51.29 | 66 |
| 57.82 | 21 |
| 62.50 | 27 |

Structural model:
```
data_LiCaNiF6
_space_group_name_H-M_alt 'P -3 1 c'
_space_group_IT_number 163
_space_group_name_Hall '-P 3 2c'
_cell_length_a 5.1480
_cell_length_b 5.1480
_cell_length_c 9.8702
_cell_angle_alpha 90.00
_cell_angle_beta 90.00
_cell_angle_gamma 120.00
loop_
_atom_site_label
_atom_site_type_symbol
_atom_site_fract_x
_atom_site_fract_y
_atom_site_fract_z
Li1 Li 0.3333 0.6667 0.2500
Ca1 Ca 0.0000 0.0000 0.0000
Ni1 Ni 0.3333 0.6667 0.7500
F1 F 0.0189 0.3668 0.6403
```